No. 1
For KCuNiS2, a crystal structure in Alexandria, relaxed with PBE gives the calculated X-ray powder pattern in this record (Cu Kα X-rays).
Lines closer than 0.1° are merged.

Peak list (12 most intense, 2θ = 10–90°, in order of falling intensity)
2theta  intensity  (hkl)
13.36  100.0  0 2 0
30.43  47.7  1 3 1
33.88  45.1  0 2 2
39.42  38.9  2 2 1
46.25  36.6  2 4 1
26.91  21.6  0 4 0
52.15  21.6  0 6 2
41.50  20.7  0 4 2
36.91  19.7  2 0 1
56.22  15.7  2 6 1
60.85  12.2  2 2 3
33.36  11.2  2 0 0

Atomic structure:
Lattice parameters (Å, degrees): 5.372 13.253 5.772 90.00 90.00 90.00
Space group Cmme (No. 67)
Symmetry-distinct sites (fractional):
K1 0.000 0.250 0.249 x4
Cu1 0.000 0.000 0.000 x4
Ni1 0.250 0.000 0.500 x4
S1 0.000 0.105 0.713 x8



No. 2
For KNpCuO5, a crystal structure in Alexandria, relaxed with PBE gives the calculated X-ray powder pattern in this record (Cu Kα X-rays).
Lines closer than 0.1° are merged.

Peak list (12 most intense, 2θ = 10–90°, in order of falling intensity)
2theta  intensity  (hkl)
17.47  100.0  1 1 -1
30.49  69.2  2 0 -2
26.47  55.1  1 1 1
29.68  44.2  2 2 0
47.36  30.2  4 2 -2
32.62  24.7  3 1 -1
38.45  21.9  0 2 2
54.20  15.8  3 3 -3
35.35  13.7  0 4 0
54.97  11.6  3 3 1
55.54  10.8  3 5 -1
43.07  10.7  2 4 0

Atomic structure:
Lattice parameters (Å, degrees): 8.556 10.159 6.043 90.00 119.15 90.00
Space group C2/c (No. 15)
Symmetry-distinct sites (fractional):
K1 0.000 0.095 0.250 x4
Np1 0.250 0.250 0.000 x4
Cu1 0.000 0.451 0.250 x4
O1 0.000 0.159 0.750 x4
O2 0.151 0.317 0.212 x8
O3 0.179 0.416 0.798 x8



No. 3
For K3Np2CuO9, a crystal structure in Alexandria, relaxed with PBE gives the calculated X-ray powder pattern in this record (Cu Kα X-rays).
Lines closer than 0.1° are merged.

Peak list (12 most intense, 2θ = 10–90°, in order of falling intensity)
2theta  intensity  (hkl)
30.19  100.0  1 1 0
21.22  78.7  1 0 1
48.63  33.6  2 1 1
43.22  32.4  2 0 2
53.66  30.7  3 0 0
17.31  13.7  1 0 0
67.11  13.1  1 3 1
53.51  11.0  1 0 4
87.21  10.7  4 1 0
62.69  10.5  0 2 4
62.86  9.8  2 2 0
71.17  9.7  2 1 4

Atomic structure:
Lattice parameters (Å, degrees): 5.9139 5.9139 7.2684 90.00 90.00 120.00
Space group P-3m1 (No. 164)
Symmetry-distinct sites (fractional):
K1 0.0000 0.0000 0.0000 x1
K2 0.3333 0.6667 0.6559 x2
Np1 0.3333 0.6667 0.1759 x2
Cu1 0.0000 0.0000 0.5000 x1
O1 0.0000 0.5000 0.0000 x3
O2 0.1724 0.3447 0.3271 x6



No. 4
For KNp2Cu2S6, a crystal structure in Alexandria, relaxed with PBE gives the calculated X-ray powder pattern in this record (Cu Kα X-rays).
Lines closer than 0.1° are merged.

Peak list (12 most intense, 2θ = 10–90°, in order of falling intensity)
2theta  intensity  (hkl)
14.27  100.0  0 0 1
28.75  99.5  1 2 2
15.11  67.9  1 0 0
28.55  66.1  1 -1 1
24.60  46.1  1 -1 0
25.29  41.3  2 1 1
14.76  40.5  0 1 0
28.97  35.0  2 1 0
15.25  34.9  1 1 1
38.38  33.0  2 1 -1
38.22  32.5  1 -1 2
17.00  25.2  0 1 1

Atomic structure:
Lattice parameters (Å, degrees): 7.045 7.234 7.386 61.98 62.34 60.96
Space group P-1 (No. 2)
Symmetry-distinct sites (fractional):
K1 0.000 0.000 0.000 x1
Np1 0.328 0.329 0.013 x2
Cu1 0.444 0.697 0.570 x2
S1 0.092 0.684 0.763 x2
S2 0.313 0.540 0.239 x2
S3 0.463 0.082 0.763 x2